No. 1
This entry pairs a crystal structure of TiN with its theoretical powder X-ray diffraction pattern. Radiation: copper Kα. Structure: a PBE-relaxed structure.
Neutral-atom scattering factors, no anomalous dispersion.

Peak list (6 most intense, 10 to 90 degrees two-theta, in order of rising 2θ)
2.657 Å, 33.73°, I = 100, hkl 1 1 1
2.301 Å, 39.15°, I = 23, hkl 2 0 0
1.627 Å, 56.56°, I = 42, hkl 2 2 0
1.388 Å, 67.50°, I = 32, hkl 3 1 1
1.329 Å, 70.94°, I = 5, hkl 2 2 2
1.151 Å, 84.14°, I = 6, hkl 4 0 0

Cell and atoms:
Cell lengths 4.602, 4.602, 4.602 Å; angles 90.00, 90.00, 90.00 degrees
Space group F-43m (No. 216)
Unique sites:
Ti (0.000, 0.000, 0.000)
N (0.250, 0.250, 0.750)

No. 2
This entry pairs a crystal structure of Ca11Si4SO18 with its theoretical powder X-ray diffraction pattern. Radiation: copper Kα. Structure: a PBE-relaxed structure.
Neutral-atom scattering factors, no anomalous dispersion.

Peak list (12 most intense, 10 to 90 degrees two-theta, in order of rising 2θ)
3.268 Å, 27.29°, I = 25, hkl 3 0 1
2.858 Å, 31.30°, I = 100, hkl 2 2 2
2.778 Å, 32.23°, I = 11, hkl 3 2 1
2.635 Å, 34.02°, I = 25, hkl 4 0 0
2.357 Å, 38.18°, I = 9, hkl 4 2 0
2.268 Å, 39.75°, I = 8, hkl 3 0 3
1.937 Å, 46.90°, I = 10, hkl 4 1 3
1.863 Å, 48.88°, I = 23, hkl 4 4 0
1.719 Å, 53.29°, I = 12, hkl 5 0 3
1.701 Å, 53.90°, I = 11, hkl 4 0 4
1.634 Å, 56.29°, I = 9, hkl 5 2 3
1.561 Å, 59.19°, I = 17, hkl 6 2 2

Cell and atoms:
Cell lengths 10.540, 10.540, 8.908 Å; angles 90.00, 90.00, 90.00 degrees
Space group I-4m2 (No. 119)
Unique sites:
Ca (0.000, 0.000, 0.000)
Ca (0.000, 0.242, 0.692)
Ca (0.000, 0.255, 0.294)
Ca (0.000, 0.500, 0.504)
Si (0.211, 0.211, 0.000)
S (0.000, 0.000, 0.500)
O (0.000, 0.500, 0.250)
O (0.000, 0.500, 0.750)
O (0.136, 0.318, 0.496)
O (0.144, 0.145, 0.851)